Simulated X-ray diffraction stick pattern
Compound: LiFeBO3
Radiation: λ = 1.5418 Å (Cu Kα)
Structure: a GGA+U-relaxed structure
Kinematic intensities with the Lorentz-polarization factor, no thermal factor.

Main lines, in order of rising 2θ (10° ≤ 2θ ≤ 80°):
- 2θ 20.4, rel. 82.4
- 2θ 20.8, rel. 24.4
- 2θ 22.4, rel. 34.0
- 2θ 22.5, rel. 61.0
- 2θ 34.0, rel. 100.0
- 2θ 34.2, rel. 57.2
- 2θ 34.8, rel. 25.1
- 2θ 40.5, rel. 23.8
- 2θ 41.1, rel. 31.1
- 2θ 61.9, rel. 30.0

Structural model:
a b c (Å): 5.1544 5.2372 5.9656
angles (deg): 65.69 66.73 60.67
Sites, in units of the cell vectors:
Li 0.0000 0.0000 0.0000
Li 0.1376 0.7561 0.6423
Fe 0.4867 0.1229 0.5560
Fe 0.6528 0.6342 0.0842
B 0.3342 0.2972 0.0635
B 0.8032 0.4579 0.5800
O 0.0401 0.1758 0.6175
O 0.0972 0.5794 0.0259
O 0.3388 0.0582 0.0113
O 0.5585 0.5054 0.4984
O 0.5791 0.2502 0.1442
O 0.7975 0.6974 0.6326



Simulated X-ray diffraction stick pattern
Compound: YLu3Cr4O16
Radiation: λ = 1.5418 Å (Cu Kα)
Structure: a GGA+U-relaxed structure
Kinematic intensities with the Lorentz-polarization factor, no thermal factor.

Main lines, in order of rising 2θ (10° ≤ 2θ ≤ 80°):
- 2θ 18.9, rel. 37.6
- 2θ 25.1, rel. 100.0
- 2θ 33.8, rel. 70.1
- 2θ 35.7, rel. 21.4
- 2θ 40.7, rel. 13.9
- 2θ 50.0, rel. 58.5
- 2θ 51.4, rel. 15.7
- 2θ 58.0, rel. 13.7
- 2θ 62.9, rel. 17.3
- 2θ 74.5, rel. 12.9

Structural model:
a b c (Å): 5.9184 5.9184 10.0534
angles (deg): 90.00 90.00 116.26
Sites, in units of the cell vectors:
Y 0.0000 0.0000 0.0000
Lu 0.0000 0.5000 0.2514
Lu 0.5000 0.0000 0.7486
Lu 0.5000 0.5000 0.5000
Cr 0.0000 0.0000 0.5000
Cr 0.0000 0.5000 0.7462
Cr 0.5000 0.0000 0.2538
Cr 0.5000 0.5000 0.0000
O 0.0860 0.2695 0.4058
O 0.0869 0.7710 0.8385
O 0.2290 0.9131 0.1615
O 0.2331 0.4185 0.0954
O 0.2695 0.0860 0.5942
O 0.2734 0.5832 0.6570
O 0.4168 0.7266 0.3430
O 0.4185 0.2331 0.9046
O 0.5815 0.7669 0.9046
O 0.5832 0.2734 0.3430
O 0.7266 0.4168 0.6570
O 0.7305 0.9140 0.5942
O 0.7669 0.5815 0.0954
O 0.7710 0.0869 0.1615
O 0.9131 0.2290 0.8385
O 0.9140 0.7305 0.4058



Simulated X-ray diffraction stick pattern
Compound: BaNaSbWO6
Radiation: λ = 1.5418 Å (Cu Kα)
Structure: a GGA+U-relaxed structure
Kinematic intensities with the Lorentz-polarization factor, no thermal factor.

Main lines, in order of rising 2θ (10° ≤ 2θ ≤ 80°):
- 2θ 18.2, rel. 20.3
- 2θ 21.0, rel. 22.0
- 2θ 29.9, rel. 100.0
- 2θ 35.2, rel. 10.4
- 2θ 42.8, rel. 31.2
- 2θ 48.1, rel. 9.1
- 2θ 53.1, rel. 40.3
- 2θ 62.1, rel. 19.2
- 2θ 70.4, rel. 18.2
- 2θ 78.3, rel. 6.3

Structural model:
a b c (Å): 5.9791 5.9791 5.9791
angles (deg): 60.00 60.00 60.00
Sites, in units of the cell vectors:
Ba 0.0000 0.0000 0.0000
Na 0.5000 0.5000 0.5000
Sb 0.7500 0.7500 0.7500
W 0.2500 0.2500 0.2500
O 0.0187 0.0187 0.4813
O 0.0187 0.4813 0.0187
O 0.0187 0.4813 0.4813
O 0.4813 0.0187 0.0187
O 0.4813 0.0187 0.4813
O 0.4813 0.4813 0.0187



Simulated X-ray diffraction stick pattern
Compound: PrV2O6
Radiation: λ = 1.5418 Å (Cu Kα)
Structure: a GGA+U-relaxed structure
Kinematic intensities with the Lorentz-polarization factor, no thermal factor.

Main lines, in order of rising 2θ (10° ≤ 2θ ≤ 80°):
- 2θ 20.1, rel. 100.0
- 2θ 33.1, rel. 59.3
- 2θ 33.2, rel. 31.3
- 2θ 39.0, rel. 25.1
- 2θ 39.1, rel. 14.1
- 2θ 39.2, rel. 13.4
- 2θ 47.4, rel. 24.1
- 2θ 47.8, rel. 12.4
- 2θ 52.1, rel. 11.0
- 2θ 59.1, rel. 20.4

Structural model:
a b c (Å): 5.4263 5.4144 7.6188
angles (deg): 90.00 90.22 90.00
Sites, in units of the cell vectors:
Pr 0.2217 0.0000 0.2575
Pr 0.7783 0.5000 0.7425
V 0.2569 0.4929 0.4976
V 0.2606 0.5265 0.9931
V 0.7394 0.0265 0.0069
V 0.7431 0.9929 0.5024
O 0.0224 0.7471 0.9732
O 0.0255 0.7423 0.5234
O 0.2454 0.4389 0.7603
O 0.2567 0.5447 0.2399
O 0.4682 0.2257 0.4748
O 0.4720 0.2102 0.0304
O 0.5280 0.7102 0.9696
O 0.5318 0.7257 0.5252
O 0.7433 0.0447 0.7601
O 0.7546 0.9389 0.2397
O 0.9745 0.2423 0.4766
O 0.9776 0.2471 0.0268



Simulated X-ray diffraction stick pattern
Compound: Ba5Gd8Mn4O21
Radiation: λ = 1.5418 Å (Cu Kα)
Structure: a GGA+U-relaxed structure
Kinematic intensities with the Lorentz-polarization factor, no thermal factor.

Main lines, in order of rising 2θ (10° ≤ 2θ ≤ 80°):
- 2θ 27.4, rel. 45.0
- 2θ 28.2, rel. 15.0
- 2θ 30.2, rel. 100.0
- 2θ 30.6, rel. 39.6
- 2θ 35.2, rel. 31.6
- 2θ 37.0, rel. 14.6
- 2θ 42.1, rel. 18.1
- 2θ 45.0, rel. 17.7
- 2θ 54.1, rel. 19.5
- 2θ 55.6, rel. 12.8

Structural model:
a b c (Å): 10.4311 10.4311 10.4311
angles (deg): 94.51 94.51 147.43
Sites, in units of the cell vectors:
Ba 0.0000 0.0000 0.0000
Ba 0.1380 0.4672 0.6052
Ba 0.4672 0.8620 0.3293
Ba 0.5328 0.1380 0.6707
Ba 0.8620 0.5328 0.3948
Gd 0.1694 0.7519 0.9213
Gd 0.2481 0.1694 0.4175
Gd 0.3584 0.5896 0.9479
Gd 0.4104 0.3584 0.7688
Gd 0.5896 0.6416 0.2312
Gd 0.6416 0.4104 0.0521
Gd 0.7519 0.8306 0.5825
Gd 0.8306 0.2481 0.0787
Mn 0.0402 0.2495 0.2897
Mn 0.2495 0.9598 0.2093
Mn 0.7505 0.0402 0.7907
Mn 0.9598 0.7505 0.7103
O 0.0084 0.6020 0.1089
O 0.0353 0.6253 0.6606
O 0.0718 0.2021 0.7742
O 0.1005 0.9916 0.5936
O 0.2021 0.4278 0.1303
O 0.2975 0.0718 0.8697
O 0.3747 0.0353 0.4100
O 0.3980 0.5069 0.4064
O 0.4278 0.2975 0.2258
O 0.4931 0.8995 0.8911
O 0.5000 0.5000 0.0000
O 0.5069 0.1005 0.1089
O 0.5722 0.7025 0.7742
O 0.6020 0.4931 0.5936
O 0.6253 0.9647 0.5900
O 0.7025 0.9282 0.1303
O 0.7979 0.5722 0.8697
O 0.8995 0.0084 0.4064
O 0.9282 0.7979 0.2258
O 0.9647 0.3747 0.3394
O 0.9916 0.3980 0.8911



Simulated X-ray diffraction stick pattern
Compound: CaGe2WO6
Radiation: λ = 1.5418 Å (Cu Kα)
Structure: a GGA+U-relaxed structure
Kinematic intensities with the Lorentz-polarization factor, no thermal factor.

Main lines, in order of rising 2θ (10° ≤ 2θ ≤ 80°):
- 2θ 12.3, rel. 58.7
- 2θ 14.4, rel. 30.7
- 2θ 17.5, rel. 46.0
- 2θ 19.1, rel. 35.3
- 2θ 23.9, rel. 67.1
- 2θ 28.0, rel. 100.0
- 2θ 31.2, rel. 52.5
- 2θ 32.4, rel. 39.7
- 2θ 34.5, rel. 33.5
- 2θ 36.0, rel. 29.4

Structural model:
a b c (Å): 12.5867 8.8535 5.6498
angles (deg): 90.00 101.60 90.00
Sites, in units of the cell vectors:
Ca 0.2460 0.0829 0.2778
Ca 0.2460 0.4171 0.7778
Ca 0.7540 0.5829 0.2222
Ca 0.7540 0.9171 0.7222
Ge 0.0770 0.1286 0.7504
Ge 0.0770 0.3714 0.2504
Ge 0.4668 0.1547 0.7795
Ge 0.4668 0.3453 0.2795
Ge 0.5332 0.6547 0.7205
Ge 0.5332 0.8453 0.2205
Ge 0.9230 0.6286 0.7496
Ge 0.9230 0.8714 0.2496
W 0.2926 0.6615 0.2973
W 0.2926 0.8385 0.7973
W 0.7074 0.1615 0.2027
W 0.7074 0.3385 0.7027
O 0.1460 0.2248 0.5136
O 0.1460 0.2752 0.0136
O 0.2014 0.0044 0.8803
O 0.2014 0.4956 0.3803
O 0.2272 0.6588 0.9286
O 0.2272 0.8412 0.4286
O 0.3906 0.6622 0.6702
O 0.3906 0.8378 0.1702
O 0.4037 0.2490 0.4987
O 0.4037 0.2510 0.9987
O 0.4187 0.5279 0.2250
O 0.4187 0.9721 0.7250
O 0.5813 0.0279 0.2750
O 0.5813 0.4721 0.7750
O 0.5963 0.7490 0.0013
O 0.5963 0.7510 0.5013
O 0.6094 0.1622 0.8298
O 0.6094 0.3378 0.3298
O 0.7728 0.1588 0.5714
O 0.7728 0.3412 0.0714
O 0.7986 0.5044 0.6197
O 0.7986 0.9956 0.1197
O 0.8540 0.7248 0.9864
O 0.8540 0.7752 0.4864



Simulated X-ray diffraction stick pattern
Compound: Mn2O3F
Radiation: λ = 1.5418 Å (Cu Kα)
Structure: a GGA+U-relaxed structure
Kinematic intensities with the Lorentz-polarization factor, no thermal factor.

Main lines, in order of rising 2θ (10° ≤ 2θ ≤ 80°):
- 2θ 26.8, rel. 90.1
- 2θ 28.2, rel. 91.4
- 2θ 35.5, rel. 100.0
- 2θ 39.3, rel. 15.3
- 2θ 40.3, rel. 16.6
- 2θ 53.2, rel. 55.1
- 2θ 54.8, rel. 52.9
- 2θ 55.3, rel. 16.1
- 2θ 61.1, rel. 16.6
- 2θ 68.8, rel. 36.8

Structural model:
a b c (Å): 15.1574 4.5869 4.5869
angles (deg): 87.10 90.00 90.00
Sites, in units of the cell vectors:
Mn 0.0000 0.0000 0.0000
Mn 0.1000 0.4680 0.4680
Mn 0.1996 0.9895 0.9895
Mn 0.2999 0.5073 0.5073
Mn 0.3995 0.9719 0.9719
Mn 0.5000 0.5027 0.5027
Mn 0.6005 0.9719 0.9719
Mn 0.7001 0.5073 0.5073
Mn 0.8004 0.9895 0.9895
Mn 0.9000 0.4680 0.4680
O 0.0000 0.2823 0.6722
O 0.0000 0.6722 0.2823
O 0.1005 0.1789 0.1789
O 0.1998 0.2973 0.6802
O 0.1998 0.6802 0.2973
O 0.3001 0.7976 0.7976
O 0.4001 0.2998 0.6886
O 0.4001 0.6886 0.2998
O 0.5000 0.7925 0.7925
O 0.5999 0.2998 0.6886
O 0.5999 0.6886 0.2998
O 0.6999 0.7976 0.7976
O 0.8002 0.2973 0.6802
O 0.8002 0.6802 0.2973
O 0.8995 0.1789 0.1789
F 0.0949 0.7790 0.7790
F 0.3049 0.1986 0.1986
F 0.5000 0.1785 0.1785
F 0.6951 0.1986 0.1986
F 0.9051 0.7790 0.7790



Number 1 is which compound? LiFeBO3